No. 1
# PrDy2WN4
Simulated powder X-ray diffraction pattern, λ = 1.5418 Å (Cu Kα). Input: the PBE geometry in Alexandria.
Kinematic intensities with the Lorentz-polarization factor, no thermal factor.

a b c (Å): 6.2179 6.2179 12.0004
angles (deg): 90.00 90.00 147.91
Positions (direct):
1 Pr 0.0874 0.9126 0.7500
2 Pr 0.9126 0.0874 0.2500
3 Dy 0.3707 0.6293 0.5382
4 Dy 0.3707 0.6293 0.9618
5 Dy 0.6293 0.3707 0.0382
6 Dy 0.6293 0.3707 0.4618
7 W 0.1702 0.8298 0.2500
8 W 0.8298 0.1702 0.7500
9 N 0.0000 0.0000 0.0000
10 N 0.0000 0.0000 0.5000
11 N 0.2624 0.7376 0.1201
12 N 0.2624 0.7376 0.3799
13 N 0.4277 0.5723 0.7500
14 N 0.5723 0.4277 0.2500
15 N 0.7376 0.2624 0.6201
16 N 0.7376 0.2624 0.8799

Main lines, most intense first (10 to 90 degrees two-theta):
d (Å), I (rel.)
2.895, 100
2.388, 60
3.000, 40
2.545, 39
1.763, 36
2.988, 30


No. 2
# Li2MoRu
Simulated powder X-ray diffraction pattern, λ = 1.5418 Å (Cu Kα). Input: the PBE geometry in Alexandria.
Kinematic intensities with the Lorentz-polarization factor, no thermal factor.

a b c (Å): 2.9752 4.4584 9.3892
angles (deg): 90.00 90.00 90.00
Positions (direct):
1 Li 0.0000 0.0000 0.0000
2 Li 0.0000 0.5000 0.2805
3 Li 0.5000 0.0000 0.2805
4 Li 0.5000 0.5000 0.0000
5 Mo 0.0000 0.0000 0.5375
6 Mo 0.5000 0.5000 0.5375
7 Ru 0.0000 0.5000 0.7671
8 Ru 0.5000 0.0000 0.7671

Main lines, most intense first (10 to 90 degrees two-theta):
d (Å), I (rel.)
2.189, 100
2.393, 47
1.941, 41
2.347, 29
2.229, 27
2.169, 23


No. 3
# La6Hg2Ir
Simulated powder X-ray diffraction pattern, λ = 1.5418 Å (Cu Kα). Input: the PBE geometry in Alexandria.
Kinematic intensities with the Lorentz-polarization factor, no thermal factor.

a b c (Å): 3.9866 9.0813 9.0813
angles (deg): 122.12 90.00 90.00
Positions (direct):
1 La 0.0000 0.0000 0.0000
2 La 0.0000 0.2104 0.4612
3 La 0.0000 0.4612 0.2104
4 La 0.5000 0.2080 0.8140
5 La 0.5000 0.6273 0.6273
6 La 0.5000 0.8140 0.2080
7 Hg 0.0000 0.5474 0.8766
8 Hg 0.0000 0.8766 0.5474
9 Ir 0.5000 0.2699 0.2699

Main lines, most intense first (10 to 90 degrees two-theta):
d (Å), I (rel.)
2.994, 100
2.768, 74
2.881, 42
2.814, 41
2.950, 33
2.370, 32


No. 4
# LiAc2Cu16
Simulated powder X-ray diffraction pattern, λ = 1.5418 Å (Cu Kα). Input: the PBE geometry in Alexandria.
Kinematic intensities with the Lorentz-polarization factor, no thermal factor.

a b c (Å): 6.6282 6.6282 6.6282
angles (deg): 83.06 83.06 83.06
Positions (direct):
1 Li 0.0000 0.0000 0.0000
2 Ac 0.2553 0.2553 0.2553
3 Ac 0.5700 0.5700 0.5700
4 Cu 0.0633 0.5720 0.5720
5 Cu 0.1970 0.6222 0.9097
6 Cu 0.1970 0.9097 0.6222
7 Cu 0.2501 0.2501 0.7561
8 Cu 0.2501 0.7561 0.2501
9 Cu 0.4118 0.9092 0.9092
10 Cu 0.5720 0.0633 0.5720
11 Cu 0.5720 0.5720 0.0633
12 Cu 0.6222 0.1970 0.9097
13 Cu 0.6222 0.9097 0.1970
14 Cu 0.7561 0.2501 0.2501
15 Cu 0.8132 0.8132 0.8132
16 Cu 0.9092 0.4118 0.9092
17 Cu 0.9092 0.9092 0.4118
18 Cu 0.9097 0.1970 0.6222
19 Cu 0.9097 0.6222 0.1970

Main lines, most intense first (10 to 90 degrees two-theta):
d (Å), I (rel.)
2.180, 100
2.197, 55
3.060, 54
2.537, 34
2.132, 33
2.448, 23


No. 5
# SmPu2Fe2
Simulated powder X-ray diffraction pattern, λ = 1.5418 Å (Cu Kα). Input: the PBE geometry in Alexandria.
Kinematic intensities with the Lorentz-polarization factor, no thermal factor.

a b c (Å): 5.6910 5.6910 8.2359
angles (deg): 90.00 90.00 127.37
Positions (direct):
1 Sm 0.0740 0.9260 0.7500
2 Sm 0.9260 0.0740 0.2500
3 Pu 0.3556 0.6444 0.0287
4 Pu 0.3556 0.6444 0.4713
5 Pu 0.6444 0.3556 0.5287
6 Pu 0.6444 0.3556 0.9713
7 Fe 0.2036 0.7964 0.2500
8 Fe 0.3976 0.6024 0.7500
9 Fe 0.6024 0.3976 0.2500
10 Fe 0.7964 0.2036 0.7500

Main lines, most intense first (10 to 90 degrees two-theta):
d (Å), I (rel.)
3.045, 100
2.523, 59
2.327, 55
2.820, 54
4.523, 32
2.551, 26